(1)
Theoretical X-ray diffraction stick pattern
Compound: Pm4Nd19Er6
Radiation: Cu Kα (λ = 1.5418 Å)
Structure: a DFT-relaxed cell (PBE, Alexandria)
Neutral-atom scattering factors, no anomalous dispersion.

Main lines, sorted by position (15° ≤ 2θ ≤ 90°):
2θ 26.2, d 3.403, intensity 51.2
2θ 28.0, d 3.183, intensity 58.7
2θ 29.8, d 3.001, intensity 100.0
2θ 34.5, d 2.599, intensity 37.4
2θ 36.0, d 2.497, intensity 74.9
2θ 41.4, d 2.183, intensity 25.3
2θ 58.9, d 1.567, intensity 29.2
2θ 59.9, d 1.544, intensity 25.0

```
29
Lattice="-6.366 6.366 6.366 6.366 -6.366 6.366 6.366 6.366 -6.366" Properties=species:S:1:pos:R:3 pbc="T T T"
Pm 2.315 2.315 -2.315
Pm 2.315 -2.315 2.315
Pm -2.315 2.315 2.315
Pm 4.051 4.051 4.051
Nd 0.000 0.000 0.000
Nd 3.321 0.000 0.000
Nd 9.410 0.000 0.000
Nd 5.594 3.008 -2.787
Nd 9.152 -0.771 3.358
Nd 3.008 -2.787 5.594
Nd 0.000 3.321 0.000
Nd 0.000 0.000 3.321
Nd 3.579 0.771 3.358
Nd 3.358 3.579 0.771
Nd 7.137 3.008 2.787
Nd 0.771 3.358 3.579
Nd 3.358 9.152 -0.771
Nd -2.787 5.594 3.008
Nd 0.000 9.410 0.000
Nd 0.000 0.000 9.410
Nd 3.008 2.787 7.137
Nd 2.787 7.137 3.008
Nd -0.771 3.358 9.152
Er 6.366 1.577 0.000
Er 6.366 0.000 4.789
Er 4.789 6.366 0.000
Er 1.577 0.000 6.366
Er 0.000 6.366 1.577
Er 0.000 4.789 6.366
```

=====

(2)
Theoretical X-ray diffraction stick pattern
Compound: Sm3TmMg6
Radiation: Cu Kα (λ = 1.5418 Å)
Structure: a DFT-relaxed cell (PBE, Alexandria)
Neutral-atom scattering factors, no anomalous dispersion.

Main lines, sorted by position (15° ≤ 2θ ≤ 90°):
2θ 23.3, d 3.820, intensity 37.3
2θ 23.6, d 3.762, intensity 71.3
2θ 33.4, d 2.685, intensity 67.1
2θ 33.5, d 2.674, intensity 100.0
2θ 33.8, d 2.650, intensity 32.8
2θ 48.4, d 1.881, intensity 24.0
2θ 59.7, d 1.550, intensity 17.9
2θ 60.3, d 1.536, intensity 24.7

```
20
Lattice="9.344 0.000 0.000 0.000 5.300 0.000 -3.015 0.000 10.919" Properties=species:S:1:pos:R:3 pbc="T T T"
Sm -0.817 1.325 4.323
Sm 0.767 3.975 2.284
Sm 2.338 1.325 0.062
Sm 3.991 3.975 10.857
Sm 5.562 1.325 8.635
Sm 7.147 3.975 6.596
Tm 2.420 1.325 6.534
Tm 3.910 3.975 4.385
Mg -2.152 3.975 9.848
Mg -0.556 1.325 7.717
Mg 0.904 3.975 5.622
Mg 0.879 3.975 8.825
Mg 2.480 1.325 3.322
Mg 3.936 3.975 1.133
Mg 2.393 1.325 9.786
Mg 3.850 3.975 7.597
Mg 5.450 1.325 2.094
Mg 5.426 1.325 5.298
Mg 6.885 3.975 3.202
Mg 8.482 1.325 1.071
```

=====

(3)
Theoretical X-ray diffraction stick pattern
Compound: Ce5S5N2
Radiation: Cu Kα (λ = 1.5418 Å)
Structure: a DFT-relaxed cell (PBE, Alexandria)
Neutral-atom scattering factors, no anomalous dispersion.

Main lines, sorted by position (15° ≤ 2θ ≤ 90°):
2θ 25.5, d 3.489, intensity 75.1
2θ 25.7, d 3.466, intensity 70.6
2θ 26.3, d 3.384, intensity 36.8
2θ 31.2, d 2.867, intensity 100.0
2θ 33.0, d 2.711, intensity 36.8
2θ 37.2, d 2.415, intensity 35.0
2θ 46.6, d 1.948, intensity 34.3
2θ 54.3, d 1.691, intensity 37.6

```
12
Lattice="6.443 -1.935 0.000 6.443 1.935 0.000 -3.145 0.000 10.326" Properties=species:S:1:pos:R:3 pbc="T T T"
Ce 0.000 0.000 0.000
Ce 0.098 0.000 3.963
Ce 3.771 0.000 2.128
Ce 5.971 0.000 8.199
Ce 9.643 0.000 6.363
S 1.170 0.000 6.613
S 1.397 0.000 9.705
S 4.871 0.000 5.163
S 8.345 0.000 0.622
S 8.572 0.000 3.713
N -1.956 0.000 8.212
N 11.698 0.000 2.114
```

=====

(4)
Theoretical X-ray diffraction stick pattern
Compound: Pm5Nd6Er2
Radiation: Cu Kα (λ = 1.5418 Å)
Structure: a DFT-relaxed cell (PBE, Alexandria)
Neutral-atom scattering factors, no anomalous dispersion.

Main lines, sorted by position (15° ≤ 2θ ≤ 90°):
2θ 30.6, d 2.921, intensity 49.6
2θ 30.8, d 2.901, intensity 100.0
2θ 31.5, d 2.836, intensity 89.9
2θ 33.6, d 2.669, intensity 35.1
2θ 36.0, d 2.497, intensity 35.6
2θ 50.0, d 1.824, intensity 18.0
2θ 59.8, d 1.547, intensity 15.5
2θ 59.9, d 1.544, intensity 15.6

```
26
Lattice="11.799 0.000 0.000 0.000 20.942 0.000 0.000 0.000 3.649" Properties=species:S:1:pos:R:3 pbc="T T T"
Pm 0.000 0.000 0.000
Pm 1.035 5.714 0.000
Pm 2.324 11.620 0.000
Pm 3.575 1.149 0.000
Pm 4.864 16.185 0.000
Pm 5.899 10.471 0.000
Pm 6.935 4.757 0.000
Pm 8.223 19.793 0.000
Pm 9.475 9.322 0.000
Pm 10.763 15.228 0.000
Nd 0.739 8.777 1.824
Nd 0.980 2.759 1.824
Nd 2.049 18.038 0.000
Nd 3.850 7.567 0.000
Nd 4.919 13.230 1.824
Nd 5.161 19.248 1.824
Nd 6.638 1.694 1.824
Nd 6.880 7.712 1.824
Nd 7.948 13.375 0.000
Nd 9.750 2.904 0.000
Nd 10.818 18.183 1.824
Nd 11.060 12.165 1.824
Er 1.993 14.870 1.824
Er 3.906 4.399 1.824
Er 7.892 16.543 1.824
Er 9.806 6.072 1.824
```

=====

(5)
Theoretical X-ray diffraction stick pattern
Compound: LiYZnAu2
Radiation: Cu Kα (λ = 1.5418 Å)
Structure: a DFT-relaxed cell (PBE, Alexandria)
Neutral-atom scattering factors, no anomalous dispersion.

Main lines, sorted by position (15° ≤ 2θ ≤ 90°):
2θ 23.5, d 3.786, intensity 17.5
2θ 26.8, d 3.323, intensity 17.9
2θ 27.1, d 3.289, intensity 100.0
2θ 36.0, d 2.497, intensity 49.9
2θ 41.3, d 2.186, intensity 54.0
2θ 47.6, d 1.912, intensity 34.0
2θ 49.9, d 1.826, intensity 20.6
2θ 50.1, d 1.820, intensity 19.2

```
5
Lattice="4.371 0.000 0.000 -2.186 3.786 0.000 0.000 0.000 6.647" Properties=species:S:1:pos:R:3 pbc="T T T"
Li 0.000 0.000 0.000
Y 2.186 1.262 2.497
Zn 0.000 2.524 4.877
Au 0.000 0.000 4.065
Au 0.000 2.524 0.891
```

=====

(6)
Theoretical X-ray diffraction stick pattern
Compound: Li4CeSc3S8
Radiation: Cu Kα (λ = 1.5418 Å)
Structure: a DFT-relaxed cell (PBE, Alexandria)
Neutral-atom scattering factors, no anomalous dispersion.

Main lines, sorted by position (15° ≤ 2θ ≤ 90°):
2θ 16.6, d 5.334, intensity 15.3
2θ 27.7, d 3.225, intensity 44.1
2θ 33.6, d 2.667, intensity 100.0
2θ 36.8, d 2.444, intensity 14.3
2θ 48.1, d 1.893, intensity 33.1
2θ 48.4, d 1.879, intensity 32.6
2θ 50.5, d 1.808, intensity 14.6
2θ 59.9, d 1.544, intensity 16.3

```
16
Lattice="3.786 2.186 6.114 -3.786 2.186 6.114 0.000 -4.371 6.114" Properties=species:S:1:pos:R:3 pbc="T T T"
Li 0.000 0.000 0.000
Li -1.893 -1.093 6.114
Li -1.893 1.093 12.228
Li 0.000 2.186 6.114
Ce 0.000 0.000 9.171
Sc -3.786 0.000 9.171
Sc -1.893 1.093 3.057
Sc 1.893 1.093 3.057
S -1.986 -1.147 10.679
S 0.000 -2.293 7.662
S -1.986 1.147 7.662
S 0.000 0.000 4.517
S 0.000 0.000 13.825
S 1.986 -1.147 10.679
S 0.000 2.293 10.679
S 1.986 1.147 7.662
```

=====

(7)
Theoretical X-ray diffraction stick pattern
Compound: RbGeCl3
Radiation: Cu Kα (λ = 1.5418 Å)
Structure: a DFT-relaxed cell (PBE, Alexandria)
Neutral-atom scattering factors, no anomalous dispersion.

Main lines, sorted by position (15° ≤ 2θ ≤ 90°):
2θ 18.0, d 4.923, intensity 23.8
2θ 21.8, d 4.069, intensity 21.5
2θ 22.9, d 3.877, intensity 100.0
2θ 23.7, d 3.754, intensity 26.3
2θ 32.5, d 2.759, intensity 41.2
2θ 32.9, d 2.725, intensity 36.7
2θ 36.2, d 2.484, intensity 25.8
2θ 41.2, d 2.190, intensity 38.1

```
20
Lattice="8.138 0.000 0.000 0.000 7.508 0.000 0.000 0.000 10.898" Properties=species:S:1:pos:R:3 pbc="T T T"
Rb 0.650 0.190 0.000
Rb 3.419 3.944 5.449
Rb 4.718 3.564 0.000
Rb 7.488 7.317 5.449
Ge 0.186 3.882 8.383
Ge 3.883 0.128 2.934
Ge 4.255 7.380 8.383
Ge 7.952 3.626 2.934
Cl 0.118 3.072 5.249
Cl 1.367 5.876 7.792
Cl 1.900 6.316 3.296
Cl 2.169 2.562 8.745
Cl 2.702 2.122 2.343
Cl 3.951 6.826 10.698
Cl 4.187 0.681 5.249
Cl 5.436 5.385 7.792
Cl 5.968 4.945 3.296
Cl 6.238 1.191 8.745
Cl 6.771 1.632 2.343
Cl 8.020 4.435 10.698
```

=====

(8)
Theoretical X-ray diffraction stick pattern
Compound: Ta2NbMo4W2
Radiation: Cu Kα (λ = 1.5418 Å)
Structure: a DFT-relaxed cell (PBE, Alexandria)
Neutral-atom scattering factors, no anomalous dispersion.

Main lines, sorted by position (15° ≤ 2θ ≤ 90°):
2θ 15.6, d 5.685, intensity 8.7
2θ 39.4, d 2.284, intensity 25.3
2θ 39.7, d 2.272, intensity 100.0
2θ 39.8, d 2.265, intensity 24.8
2θ 57.3, d 1.608, intensity 16.8
2θ 71.7, d 1.316, intensity 17.1
2θ 72.2, d 1.309, intensity 25.5
2θ 85.5, d 1.136, intensity 11.1

```
9
Lattice="6.853 -1.604 0.000 6.853 1.604 0.000 -2.280 0.000 6.795" Properties=species:S:1:pos:R:3 pbc="T T T"
Ta 1.138 0.000 1.115
Ta 10.287 0.000 5.681
Nb -1.140 0.000 3.398
Mo 1.115 0.000 5.662
Mo 5.677 0.000 1.140
Mo 5.748 0.000 5.656
Mo 10.310 0.000 1.134
W 3.384 0.000 3.372
W 8.041 0.000 3.424
```

=====

(9)
Theoretical X-ray diffraction stick pattern
Compound: Ba2InPPb
Radiation: Cu Kα (λ = 1.5418 Å)
Structure: a DFT-relaxed cell (PBE, Alexandria)
Neutral-atom scattering factors, no anomalous dispersion.

Main lines, sorted by position (15° ≤ 2θ ≤ 90°):
2θ 22.7, d 3.917, intensity 39.6
2θ 26.0, d 3.425, intensity 66.2
2θ 26.2, d 3.405, intensity 100.0
2θ 27.4, d 3.249, intensity 42.0
2θ 31.0, d 2.888, intensity 47.7
2θ 32.8, d 2.731, intensity 70.5
2θ 35.2, d 2.547, intensity 38.9
2θ 37.4, d 2.407, intensity 55.3

```
10
Lattice="8.190 0.000 0.000 0.000 4.814 0.000 -2.973 0.000 9.748" Properties=species:S:1:pos:R:3 pbc="T T T"
Ba 0.374 1.203 3.786
Ba -1.038 1.203 9.511
Ba 6.255 3.610 0.237
Ba 4.843 3.610 5.962
In 3.173 3.610 2.594
In 2.044 1.203 7.155
P 0.821 3.610 1.687
P 4.397 1.203 8.061
Pb 0.411 3.610 6.781
Pb 4.806 1.203 2.967
```